Diffraction record for Ce8Pu3Zn2. The powder X-ray diffraction pattern is calculated, not measured: it uses the GGA-PBE geometry in Alexandria and copper Kα.
Kinematic intensities with the Lorentz-polarization factor, no thermal factor.

Principal peaks in the range 2θ = 15–90°, by angle:
- (2 0 0), 30.98 deg, rel. 17
- (1 2 -1), 33.72 deg, rel. 100
- (2 1 2), 34.11 deg, rel. 41
- (0 1 3), 34.43 deg, rel. 51
- (2 0 -1), 35.01 deg, rel. 45
- (1 -1 3), 39.15 deg, rel. 28
- (1 3 2), 43.81 deg, rel. 21
- (1 1 -4), 53.68 deg, rel. 11
- (3 3 1), 57.00 deg, rel. 9
- (-1 3 3), 57.53 deg, rel. 13
- (-3 2 1), 62.04 deg, rel. 10
- (-2 1 4), 62.61 deg, rel. 13

Structure:
Unit cell a=5.997 b=6.660 c=8.351 alpha=80.76 beta=77.20 gamma=79.15
Space group P-1 (No. 2)
One atom of each set of equivalent atoms:
Ce (0.050, 0.085, 0.134) [2 per cell]
Ce (0.130, 0.560, 0.306) [2 per cell]
Ce (0.362, 0.669, 0.629) [2 per cell]
Ce (0.423, 0.154, 0.763) [2 per cell]
Pu (0.000, 0.500, 0.000) [1 per cell]
Pu (0.475, 0.727, 0.966) [2 per cell]
Zn (0.169, 0.108, 0.475) [2 per cell]

Diffraction record for TaSe. The powder X-ray diffraction pattern is calculated, not measured: it uses the GGA-PBE geometry in Alexandria and copper Kα.
Kinematic intensities with the Lorentz-polarization factor, no thermal factor.

Principal peaks in the range 2θ = 15–90°, by angle:
- (1 0 4), 33.55 deg, rel. 100
- (1 0 7), 38.34 deg, rel. 41
- (0 1 8), 40.38 deg, rel. 42
- (0 1 11), 47.42 deg, rel. 29
- (0 0 15), 48.38 deg, rel. 11
- (1 1 0), 55.12 deg, rel. 27
- (1 1 3), 56.06 deg, rel. 9
- (0 2 4), 66.10 deg, rel. 14
- (0 2 7), 69.11 deg, rel. 16
- (2 0 8), 70.52 deg, rel. 8
- (1 0 19), 71.44 deg, rel. 10
- (1 1 15), 76.35 deg, rel. 18

Structure:
Unit cell a=3.3322 b=3.3322 c=28.2180 alpha=90.00 beta=90.00 gamma=120.00
Space group R-3m (No. 166, hexagonal axes)
One atom of each set of equivalent atoms:
Ta (0.0000, 0.0000, 0.1280) [6 per cell]
Se (0.0000, 0.0000, 0.3993) [6 per cell]

Diffraction record for Ni5Ge2. The powder X-ray diffraction pattern is calculated, not measured: it uses the GGA-PBE geometry in Alexandria and copper Kα.
Kinematic intensities with the Lorentz-polarization factor, no thermal factor.

Principal peaks in the range 2θ = 15–90°, by angle:
- (1 0 4), 32.60 deg, rel. 6
- (1 1 4), 39.27 deg, rel. 6
- (2 1 1), 41.10 deg, rel. 14
- (2 0 4), 42.26 deg, rel. 24
- (1 1 5), 45.19 deg, rel. 85
- (3 0 0), 46.13 deg, rel. 100
- (2 1 4), 50.37 deg, rel. 13
- (1 1 6), 51.70 deg, rel. 10
- (2 2 5), 66.56 deg, rel. 17
- (0 0 10), 76.80 deg, rel. 14
- (4 1 5), 84.79 deg, rel. 14
- (3 3 0), 85.46 deg, rel. 10

Structure:
Unit cell a=6.8166 b=6.8166 c=12.4101 alpha=90.00 beta=90.00 gamma=120.00
Space group P6_3cm (No. 185)
One atom of each set of equivalent atoms:
Ni (0.0000, 0.0000, 0.0000) [2 per cell]
Ni (0.0000, 0.2735, 0.3273) [6 per cell]
Ni (0.0000, 0.3075, 0.1215) [6 per cell]
Ni (0.0000, 0.3699, 0.5231) [6 per cell]
Ni (0.0000, 0.3732, 0.7333) [6 per cell]
Ni (0.3333, 0.6667, 0.3564) [4 per cell]
Ge (0.0000, 0.0000, 0.2043) [2 per cell]
Ge (0.0000, 0.3293, 0.9284) [6 per cell]
Ge (0.3333, 0.6667, 0.1472) [4 per cell]